Theoretical powder diffraction line list of Ag3Sb for Cu Kα, from a crystal structure in the Materials Project, relaxed with GGA-PBE.
Lines closer than 0.1° are merged.

Largest 11 diffraction maxima, by angle, 2θ from 5° to 70°:
2theta  intensity
33.71  10
33.95  27
36.31  41
38.43  55
38.65  100
50.38  6
50.55  17
60.44  17
60.90  9
66.73  10
66.88  19

Crystal structure
```
data_Ag3Sb
_chemical_formula_sum 'Ag6 Sb2'
_symmetry_space_group_name_H-M 'P 1'
_symmetry_Int_Tables_number 1
_symmetry_space_group_name_Hall 'P 1'
_cell_length_a 4.948
_cell_length_b 6.085
_cell_length_c 5.318
_cell_angle_alpha 90.00
_cell_angle_beta 90.00
_cell_angle_gamma 90.00
loop_
_atom_site_label
_atom_site_type_symbol
_atom_site_fract_x
_atom_site_fract_y
_atom_site_fract_z
Ag1 Ag 0.250 0.002 0.156
Ag2 Ag 0.250 0.250 0.670
Ag3 Ag 0.250 0.498 0.156
Ag4 Ag 0.750 0.502 0.844
Ag5 Ag 0.750 0.750 0.330
Ag6 Ag 0.750 0.998 0.844
Sb1 Sb 0.250 0.750 0.669
Sb2 Sb 0.750 0.250 0.331
```

Theoretical powder diffraction line list of Ag3Sb for Cu Kα, from a crystal structure in the Materials Project, relaxed with GGA-PBE.
Lines closer than 0.1° are merged.

Largest 11 diffraction maxima, by angle, 2θ from 5° to 70°:
2theta  intensity
27.83  1
32.90  25
34.24  1
37.41  22
37.99  100
43.62  1
50.66  14
58.75  20
66.23  1
67.87  15
69.00  3

Crystal structure
```
data_Ag3Sb
_chemical_formula_sum 'Ag3 Sb1'
_symmetry_space_group_name_H-M 'P 1'
_symmetry_Int_Tables_number 1
_symmetry_space_group_name_Hall 'P 1'
_cell_length_a 3.143
_cell_length_b 3.143
_cell_length_c 9.616
_cell_angle_alpha 90.00
_cell_angle_beta 90.00
_cell_angle_gamma 120.00
loop_
_atom_site_label
_atom_site_type_symbol
_atom_site_fract_x
_atom_site_fract_y
_atom_site_fract_z
Ag1 Ag 0.000 0.000 0.000
Ag2 Ag 0.333 0.667 0.236
Ag3 Ag 0.333 0.667 0.764
Sb1 Sb 0.000 0.000 0.500
```

Theoretical powder diffraction line list of AgSbSe2 for Cu Kα, from a crystal structure in the Materials Project, relaxed with GGA-PBE.
Lines closer than 0.1° are merged.

Largest 10 diffraction maxima, by angle, 2θ from 5° to 70°:
2theta  intensity
26.68  11
30.38  53
31.17  100
44.08  75
44.66  36
51.76  2
52.78  3
54.97  38
63.20  6
65.00  11

Crystal structure
```
data_AgSbSe2
_chemical_formula_sum 'Ag2 Sb2 Se4'
_symmetry_space_group_name_H-M 'P 1'
_symmetry_Int_Tables_number 1
_symmetry_space_group_name_Hall 'P 1'
_cell_length_a 7.149
_cell_length_b 7.149
_cell_length_c 7.149
_cell_angle_alpha 132.66
_cell_angle_beta 132.66
_cell_angle_gamma 69.18
loop_
_atom_site_label
_atom_site_type_symbol
_atom_site_fract_x
_atom_site_fract_y
_atom_site_fract_z
Ag1 Ag 0.375 0.625 0.750
Ag2 Ag 0.625 0.375 0.250
Sb1 Sb 0.125 0.875 0.250
Sb2 Sb 0.875 0.125 0.750
Se1 Se 0.122 0.372 0.750
Se2 Se 0.372 0.122 0.250
Se3 Se 0.628 0.878 0.750
Se4 Se 0.878 0.628 0.250
```